For BaTlMoF6, a cell relaxed with GGA+U gives the simulated XRD peak list in this record (Cu Kα (λ = 1.5418 Å)).
Lines closer than 0.1° are merged.

Structural model:
```
data_BaTlMoF6
_cell_length_a 6.6457
_cell_length_b 6.6457
_cell_length_c 9.5525
_cell_angle_alpha 90.00
_cell_angle_beta 90.00
_cell_angle_gamma 120.00
_space_group_name_H-M_alt 'P 1'
_space_group_IT_number 1
loop_
_space_group_symop_operation_xyz
'x,y,z'
loop_
_atom_site_label
_atom_site_fract_x
_atom_site_fract_y
_atom_site_fract_z
Ba1 0.3333 0.6667 0.2500
Ba2 0.6667 0.3333 0.7500
Tl1 0.0000 0.0000 0.0000
Tl2 0.0000 0.0000 0.5000
Mo1 0.3333 0.6667 0.7500
Mo2 0.6667 0.3333 0.2500
F1 0.0587 0.3997 0.6345
F2 0.0587 0.6590 0.8655
F3 0.3410 0.3997 0.8655
F4 0.3410 0.9413 0.6345
F5 0.3997 0.0587 0.1345
F6 0.3997 0.3410 0.3655
F7 0.6003 0.6590 0.6345
F8 0.6003 0.9413 0.8655
F9 0.6590 0.0587 0.3655
F10 0.6590 0.6003 0.1345
F11 0.9413 0.3410 0.1345
F12 0.9413 0.6003 0.3655
```

Top 10 peaks for 2θ = 5–70°, low angle first:
h k l, 2θ/deg, Rel. int.
1 0 2, 24.2, 100.0
1 1 0, 26.8, 55.7
2 0 2, 36.5, 33.7
2 1 2, 45.8, 36.2
1 1 4, 46.8, 38.1
3 0 0, 47.4, 20.0
2 2 0, 55.3, 8.1
4 -1 2, 61.2, 15.6
3 0 4, 62.1, 10.3
4 -2 4, 68.8, 11.5